Diffraction record for DyErPb2. The powder XRD pattern is simulated, not measured: it uses the GGA-PBE geometry in Alexandria and λ = 1.5418 Å (Cu Kα).
Kinematic intensities with the Lorentz-polarization factor, no thermal factor.

Atomic structure:
Unit cell a=10.4097 b=10.4097 c=5.8318 alpha=95.26 beta=95.26 gamma=131.11
Sites, in units of the cell vectors:
Dy (0.0635, 0.9365, 0.7500)
Dy (0.3118, 0.6882, 0.7500)
Dy (0.6882, 0.3118, 0.2500)
Dy (0.9365, 0.0635, 0.2500)
Er (0.1868, 0.8132, 0.2500)
Er (0.4386, 0.5614, 0.2500)
Er (0.5614, 0.4386, 0.7500)
Er (0.8132, 0.1868, 0.7500)
Pb (0.0650, 0.4399, 0.2457)
Pb (0.1875, 0.3126, 0.7531)
Pb (0.3126, 0.1875, 0.2531)
Pb (0.4399, 0.0650, 0.7457)
Pb (0.5601, 0.9350, 0.2543)
Pb (0.6874, 0.8125, 0.7469)
Pb (0.8125, 0.6874, 0.2469)
Pb (0.9350, 0.5601, 0.7543)

The 10 most intense peaks (10° ≤ 2θ ≤ 90°), by angle:
| 2θ/deg | I_rel |
| --- | --- |
| 30.1 | 100 |
| 31.5 | 45 |
| 34.8 | 69 |
| 38.0 | 27 |
| 43.1 | 19 |
| 47.8 | 14 |
| 50.1 | 25 |
| 52.0 | 23 |
| 58.8 | 16 |
| 61.1 | 14 |